Calculated powder diffractogram of KNaHf4P6O24 for CuKα, from a cell relaxed with GGA-PBE.
No peak broadening, texture or thermal motion is included.

Top 10 peaks for 2θ = 10–90°, sorted by position:
2θ = 13.82°, I 22; 2θ = 19.06°, I 69; 2θ = 20.12°, I 100; 2θ = 23.13°, I 23; 2θ = 27.85°, I 39; 2θ = 30.52°, I 69; 2θ = 34.59°, I 24; 2θ = 35.22°, I 32; 2θ = 47.28°, I 23; 2θ = 60.28°, I 23

Structural model:
Unit cell a=9.343 b=9.343 c=9.343 alpha=56.39 beta=56.39 gamma=56.39
Fractional coordinates of all 36 atoms:
K 0.000 0.000 0.000
Na 0.500 0.500 0.500
Hf 0.148 0.148 0.148
Hf 0.353 0.353 0.353
Hf 0.647 0.647 0.647
Hf 0.852 0.852 0.852
P 0.040 0.464 0.748
P 0.252 0.960 0.536
P 0.464 0.748 0.040
P 0.536 0.252 0.960
P 0.748 0.040 0.464
P 0.960 0.536 0.252
O 0.009 0.634 0.765
O 0.063 0.294 0.924
O 0.076 0.937 0.706
O 0.125 0.507 0.278
O 0.217 0.429 0.581
O 0.235 0.991 0.366
O 0.278 0.125 0.507
O 0.294 0.924 0.063
O 0.366 0.235 0.991
O 0.419 0.783 0.571
O 0.429 0.581 0.217
O 0.493 0.722 0.875
O 0.507 0.278 0.125
O 0.571 0.419 0.783
O 0.581 0.217 0.429
O 0.634 0.765 0.009
O 0.706 0.076 0.937
O 0.722 0.875 0.493
O 0.765 0.009 0.634
O 0.783 0.571 0.419
O 0.875 0.493 0.722
O 0.924 0.063 0.294
O 0.937 0.706 0.076
O 0.991 0.366 0.235

Calculated powder diffractogram of TbSm2Mg for CuKα, from a cell relaxed with GGA-PBE.
No peak broadening, texture or thermal motion is included.

Top 10 peaks for 2θ = 10–90°, sorted by position:
2θ = 26.09°, I 21; 2θ = 31.28°, I 100; 2θ = 34.38°, I 41; 2θ = 39.85°, I 14; 2θ = 46.00°, I 9; 2θ = 49.42°, I 15; 2θ = 53.62°, I 20; 2θ = 56.67°, I 13; 2θ = 59.66°, I 32; 2θ = 65.26°, I 11

Structural model:
Unit cell a=3.689 b=3.689 c=9.052 alpha=90.00 beta=90.00 gamma=90.00
Fractional coordinates of all 4 atoms:
Tb 0.000 0.000 0.000
Sm 0.500 0.500 0.271
Sm 0.500 0.500 0.729
Mg 0.000 0.000 0.500

Calculated powder diffractogram of Ho3Sc7Os4 for CuKα, from a cell relaxed with GGA-PBE.
No peak broadening, texture or thermal motion is included.

Top 10 peaks for 2θ = 10–90°, sorted by position:
2θ = 19.70°, I 80; 2θ = 28.63°, I 42; 2θ = 28.78°, I 40; 2θ = 32.26°, I 43; 2θ = 33.52°, I 60; 2θ = 33.68°, I 34; 2θ = 34.75°, I 100; 2θ = 38.62°, I 38; 2θ = 40.47°, I 42; 2θ = 43.95°, I 48

Structural model:
Unit cell a=8.587 b=8.587 c=10.622 alpha=120.98 beta=120.98 gamma=27.76
Fractional coordinates of all 14 atoms:
Ho 0.000 0.000 0.000
Ho 0.307 0.307 0.293
Ho 0.693 0.693 0.707
Sc 0.000 0.000 0.500
Sc 0.169 0.169 0.423
Sc 0.320 0.320 0.984
Sc 0.489 0.489 0.728
Sc 0.511 0.511 0.272
Sc 0.680 0.680 0.016
Sc 0.831 0.831 0.577
Os 0.111 0.111 0.817
Os 0.325 0.325 0.729
Os 0.675 0.675 0.271
Os 0.889 0.889 0.183